Calculated XRD peak list
Compound: Co2Sb2O7
Radiation: copper Kα
Structure: a crystal structure in the Materials Project, relaxed with GGA+U
Kinematic intensities with the Lorentz-polarization factor, no thermal factor.

Peak list (10 most intense, 10° ≤ 2θ ≤ 90°, sorted by position)
d/Å	Rel. int.	(hkl)
5.871	18	1 1 1
3.066	14	3 1 1
2.935	100	2 2 2
2.542	27	4 0 0
1.798	49	4 4 0
1.533	40	6 2 2
1.468	9	4 4 4
1.271	7	8 0 0
1.166	16	6 6 2
1.137	12	8 4 0

Structure:
Lattice parameters (Å, degrees): 10.1686 10.1686 10.1686 90.00 90.00 90.00
Space group Fd-3m (No. 227, origin choice 2)
Asymmetric unit:
Co 0.0000 0.0000 0.0000 x16
Sb 0.0000 0.0000 0.5000 x16
O 0.0813 0.3750 0.8750 x48
O 0.1250 0.1250 0.1250 x8

---

Calculated XRD peak list
Compound: Co3SbO8
Radiation: copper Kα
Structure: a crystal structure in the Materials Project, relaxed with GGA+U
Kinematic intensities with the Lorentz-polarization factor, no thermal factor.

Peak list (10 most intense, 10° ≤ 2θ ≤ 90°, sorted by position)
d/Å	Rel. int.	(hkl)
4.596	24	0 0 2
4.434	49	1 0 -1
4.362	100	-1 1 1
3.421	18	0 1 -2
2.637	19	1 0 -3
2.606	17	1 -1 3
2.592	17	0 1 3
2.479	18	1 1 -2
2.431	24	1 1 2
2.423	32	2 -1 2

Structure:
Lattice parameters (Å, degrees): 5.7338 5.7513 9.1943 90.76 90.55 119.25
Space group P1 (No. 1)
Asymmetric unit:
Co 0.0000 0.0000 0.0000 x1
Co 0.0002 0.4951 0.0000 x1
Co 0.3442 0.6760 0.4975 x1
Co 0.3493 0.1802 0.5045 x1
Co 0.5045 0.0000 0.9994 x1
Co 0.8392 0.6795 0.5002 x1
Sb 0.4978 0.4866 0.7836 x1
Sb 0.8435 0.1690 0.2743 x1
O 0.0064 0.5070 0.3910 x1
O 0.0183 0.0051 0.3866 x1
O 0.1381 0.3196 0.1191 x1
O 0.1733 0.8320 0.0966 x1
O 0.1996 0.8576 0.5937 x1
O 0.2017 0.3384 0.6287 x1
O 0.3264 0.1424 0.8898 x1
O 0.3255 0.6682 0.8906 x1
O 0.4806 0.4860 0.3986 x1
O 0.5059 0.0059 0.3852 x1
O 0.6426 0.3352 0.6261 x1
O 0.6484 0.7908 0.6316 x1
O 0.6869 0.3197 0.1171 x1
O 0.6867 0.8675 0.1184 x1
O 0.8300 0.1646 0.9005 x1
O 0.8520 0.6676 0.8866 x1

---

Calculated XRD peak list
Compound: Co5SbO8
Radiation: copper Kα
Structure: a crystal structure in the Materials Project, relaxed with GGA+U
Kinematic intensities with the Lorentz-polarization factor, no thermal factor.

Peak list (10 most intense, 10° ≤ 2θ ≤ 90°, sorted by position)
d/Å	Rel. int.	(hkl)
4.937	93	0 0 2
3.017	46	1 1 3
2.631	57	1 2 -1
2.600	68	1 2 3
2.589	100	2 0 0
2.584	43	2 2 0
2.148	48	2 0 2
1.654	34	0 2 6
1.541	44	2 4 2
1.509	43	2 2 6

Structure:
Lattice parameters (Å, degrees): 6.0018 6.1666 10.4714 73.28 89.93 60.90
Space group P1 (No. 1)
Asymmetric unit:
Co 0.0000 0.0000 0.0000 x1
Co 0.0007 0.0001 0.4996 x1
Co 0.0449 0.4021 0.6819 x1
Co 0.2547 0.9987 0.2512 x1
Co 0.4510 0.5937 0.8182 x1
Co 0.5017 0.9975 0.9997 x1
Co 0.5025 0.9975 0.4994 x1
Co 0.5522 0.4048 0.1817 x1
Co 0.7491 0.9963 0.7509 x1
Co 0.9566 0.5950 0.3183 x1
Sb 0.0031 0.4982 0.0005 x1
Sb 0.5000 0.4983 0.5003 x1
O 0.1083 0.7428 0.8822 x1
O 0.1224 0.2582 0.8865 x1
O 0.1500 0.7434 0.3828 x1
O 0.1653 0.2072 0.3868 x1
O 0.3578 0.2583 0.1144 x1
O 0.3728 0.7955 0.1134 x1
O 0.3823 0.7396 0.6133 x1
O 0.3863 0.2567 0.6148 x1
O 0.6138 0.7411 0.3848 x1
O 0.6192 0.2592 0.3862 x1
O 0.6299 0.2060 0.8866 x1
O 0.6467 0.7399 0.8855 x1
O 0.8333 0.7932 0.6131 x1
O 0.8506 0.2542 0.6172 x1
O 0.8798 0.7397 0.1133 x1
O 0.8958 0.2551 0.1182 x1

---

Calculated XRD peak list
Compound: Co5SbO8
Radiation: copper Kα
Structure: a crystal structure in the Materials Project, relaxed with GGA+U
Kinematic intensities with the Lorentz-polarization factor, no thermal factor.

Peak list (10 most intense, 10° ≤ 2θ ≤ 90°, sorted by position)
d/Å	Rel. int.	(hkl)
4.927	46	1 0 1
3.006	35	1 1 0
2.630	44	0 1 5
2.587	100	1 1 3
2.464	16	2 0 2
2.149	36	0 2 4
1.653	25	1 2 5
1.642	24	0 3 3
1.537	33	2 0 8
1.503	33	2 2 0

Structure:
Lattice parameters (Å, degrees): 6.0124 6.0124 15.2389 90.00 90.00 120.00
Space group R-3m (No. 166, hexagonal axes)
Asymmetric unit:
Co 0.0000 0.0000 0.1340 x6
Co 0.0000 0.5000 0.0000 x9
Sb 0.0000 0.0000 0.5000 x3
O 0.0000 0.0000 0.2650 x6
O 0.0259 0.5129 0.2476 x18

---

Calculated XRD peak list
Compound: Co2SbO6
Radiation: copper Kα
Structure: a crystal structure in the Materials Project, relaxed with GGA+U
Kinematic intensities with the Lorentz-polarization factor, no thermal factor.

Peak list (10 most intense, 10° ≤ 2θ ≤ 90°, sorted by position)
d/Å	Rel. int.	(hkl)
4.894	100	0 0 2
4.022	9	1 1 1
2.545	9	0 2 0
2.469	37	3 1 1
2.447	6	0 0 4
2.259	22	0 2 2
2.010	32	3 1 3
1.764	12	0 2 4
1.553	16	3 1 5
1.454	14	3 3 1

Structure:
Lattice parameters (Å, degrees): 8.8442 5.0909 9.7876 90.00 90.00 90.00
Space group Cmce (No. 64)
Asymmetric unit:
Co 0.1666 0.0000 0.0000 x8
Sb 0.0000 0.0000 0.5000 x4
O 0.0000 0.1507 0.0998 x8
O 0.1744 0.1749 0.4012 x16

---

Calculated XRD peak list
Compound: Co3SbO8
Radiation: copper Kα
Structure: a crystal structure in the Materials Project, relaxed with GGA+U
Kinematic intensities with the Lorentz-polarization factor, no thermal factor.

Peak list (10 most intense, 10° ≤ 2θ ≤ 90°, sorted by position)
d/Å	Rel. int.	(hkl)
4.571	17	0 0 2
4.344	100	1 0 1
3.354	31	1 0 2
2.593	38	1 0 3
2.419	47	1 1 2
2.383	35	2 0 1
1.918	27	2 0 3
1.591	18	2 1 3
1.469	27	2 0 5
1.425	23	2 2 0

Structure:
Lattice parameters (Å, degrees): 5.7013 5.7013 9.1414 90.00 90.00 120.00
Space group P6_3mc (No. 186)
Asymmetric unit:
Co 0.1702 0.3403 0.0000 x6
Sb 0.3333 0.6667 0.2790 x2
O 0.0000 0.0000 0.0916 x2
O 0.0303 0.5151 0.1182 x6
O 0.1589 0.3178 0.3866 x6
O 0.3333 0.6667 0.8970 x2